Theoretical XRD peak list of PmTe for Cu Kα (λ = 1.5418 Å), from a structure optimized by DFT (PBE).

Top 9 peaks for 2θ = 10–90°, by intensity:
| d (Å) | Rel. int. |
| --- | --- |
| 3.155 | 100 |
| 2.231 | 76 |
| 1.411 | 35 |
| 1.821 | 27 |
| 1.288 | 26 |
| 1.577 | 13 |
| 1.115 | 8 |
| 3.643 | 1 |
| 1.902 | 1 |

abc: 4.462 4.462 4.462
angles: 60.00 60.00 60.00
Fractional coordinates of all 2 atoms:
Pm (0.000, 0.000, 0.000)
Te (0.500, 0.500, 0.500)

Theoretical XRD peak list of Pm4ZnTe3 for Cu Kα (λ = 1.5418 Å), from a structure optimized by DFT (PBE).

Top 10 peaks for 2θ = 10–90°, by intensity:
| d (Å) | Rel. int. |
| --- | --- |
| 3.126 | 100 |
| 2.211 | 50 |
| 1.398 | 22 |
| 1.835 | 14 |
| 2.265 | 13 |
| 1.776 | 13 |
| 1.563 | 12 |
| 2.157 | 12 |
| 1.297 | 8 |
| 1.256 | 8 |

abc: 7.724 7.724 4.315
angles: 90.00 90.00 108.17
Fractional coordinates of all 8 atoms:
Pm (0.236, 0.236, 0.500)
Pm (0.241, 0.759, 0.000)
Pm (0.759, 0.241, 0.000)
Pm (0.764, 0.764, 0.500)
Zn (0.000, 0.000, 0.000)
Te (0.000, 0.500, 0.500)
Te (0.500, 0.000, 0.500)
Te (0.500, 0.500, 0.000)

Theoretical XRD peak list of PmW2 for Cu Kα (λ = 1.5418 Å), from a structure optimized by DFT (PBE).

Top 10 peaks for 2θ = 10–90°, by intensity:
| d (Å) | Rel. int. |
| --- | --- |
| 2.387 | 100 |
| 2.285 | 48 |
| 1.523 | 33 |
| 1.399 | 30 |
| 2.799 | 21 |
| 1.193 | 18 |
| 4.570 | 13 |
| 1.207 | 12 |
| 1.979 | 8 |
| 1.616 | 8 |

abc: 5.597 5.597 5.597
angles: 60.00 60.00 60.00
Fractional coordinates of all 6 atoms:
Pm (0.125, 0.125, 0.125)
Pm (0.875, 0.875, 0.875)
W (0.000, 0.500, 0.500)
W (0.500, 0.000, 0.500)
W (0.500, 0.500, 0.000)
W (0.500, 0.500, 0.500)

Theoretical XRD peak list of PmZn12 for Cu Kα (λ = 1.5418 Å), from a structure optimized by DFT (PBE).

Top 10 peaks for 2θ = 10–90°, by intensity:
| d (Å) | Rel. int. |
| --- | --- |
| 2.224 | 100 |
| 2.258 | 77 |
| 2.213 | 58 |
| 2.573 | 47 |
| 2.012 | 40 |
| 1.425 | 23 |
| 1.286 | 22 |
| 3.161 | 21 |
| 1.314 | 20 |
| 1.280 | 20 |

abc: 6.788 6.788 6.788
angles: 98.60 98.60 134.49
Fractional coordinates of all 13 atoms:
Pm (0.000, 0.000, 0.000)
Zn (0.000, 0.000, 0.500)
Zn (0.000, 0.355, 0.355)
Zn (0.000, 0.500, 0.000)
Zn (0.000, 0.645, 0.645)
Zn (0.281, 0.500, 0.781)
Zn (0.355, 0.000, 0.355)
Zn (0.500, 0.000, 0.000)
Zn (0.500, 0.281, 0.781)
Zn (0.500, 0.500, 0.500)
Zn (0.500, 0.719, 0.219)
Zn (0.645, 0.000, 0.645)
Zn (0.719, 0.500, 0.219)

Theoretical XRD peak list of PmZr for Cu Kα (λ = 1.5418 Å), from a structure optimized by DFT (PBE).

Top 10 peaks for 2θ = 10–90°, by intensity:
| d (Å) | Rel. int. |
| --- | --- |
| 2.605 | 100 |
| 2.648 | 53 |
| 2.735 | 41 |
| 1.553 | 20 |
| 1.465 | 18 |
| 2.010 | 18 |
| 1.735 | 16 |
| 1.430 | 15 |
| 2.961 | 14 |
| 2.964 | 13 |

abc: 6.794 5.471 9.239
angles: 90.00 100.66 90.00
Fractional coordinates of all 12 atoms:
Pm (0.023, 0.250, 0.117)
Pm (0.310, 0.750, 0.246)
Pm (0.463, 0.750, 0.876)
Pm (0.537, 0.250, 0.124)
Pm (0.690, 0.250, 0.754)
Pm (0.977, 0.750, 0.883)
Zr (0.128, 0.750, 0.554)
Zr (0.181, 0.250, 0.745)
Zr (0.353, 0.250, 0.459)
Zr (0.647, 0.750, 0.541)
Zr (0.819, 0.750, 0.255)
Zr (0.872, 0.250, 0.446)

Theoretical XRD peak list of Pr for Cu Kα (λ = 1.5418 Å), from a structure optimized by DFT (PBE).

Top 10 peaks for 2θ = 10–90°, by intensity:
| d (Å) | Rel. int. |
| --- | --- |
| 2.839 | 100 |
| 3.085 | 62 |
| 1.730 | 46 |
| 2.181 | 24 |
| 1.599 | 18 |
| 1.151 | 12 |
| 1.419 | 12 |
| 1.110 | 11 |
| 1.379 | 11 |
| 1.355 | 10 |

abc: 3.607 3.607 3.607
angles: 105.59 105.59 117.56
Fractional coordinates of all 1 atoms:
Pr (0.000, 0.000, 0.000)

Theoretical XRD peak list of Pr for Cu Kα (λ = 1.5418 Å), from a structure optimized by DFT (PBE).

Top 10 peaks for 2θ = 10–90°, by intensity:
| d (Å) | Rel. int. |
| --- | --- |
| 2.936 | 100 |
| 2.680 | 78 |
| 1.754 | 44 |
| 3.282 | 34 |
| 1.821 | 25 |
| 1.432 | 23 |
| 1.219 | 20 |
| 1.641 | 18 |
| 1.198 | 13 |
| 1.468 | 12 |

abc: 6.564 6.564 6.564
angles: 90.00 90.00 90.00
Fractional coordinates of all 8 atoms:
Pr (0.000, 0.000, 0.000)
Pr (0.000, 0.250, 0.500)
Pr (0.000, 0.750, 0.500)
Pr (0.250, 0.500, 0.000)
Pr (0.500, 0.000, 0.250)
Pr (0.500, 0.000, 0.750)
Pr (0.500, 0.500, 0.500)
Pr (0.750, 0.500, 0.000)

Theoretical XRD peak list of Pr7Pt3 for Cu Kα (λ = 1.5418 Å), from a structure optimized by DFT (PBE).

Top 10 peaks for 2θ = 10–90°, by intensity:
| d (Å) | Rel. int. |
| --- | --- |
| 2.978 | 100 |
| 2.691 | 94 |
| 2.613 | 86 |
| 2.563 | 81 |
| 3.037 | 48 |
| 1.742 | 35 |
| 2.328 | 33 |
| 5.226 | 33 |
| 2.959 | 31 |
| 1.943 | 29 |

abc: 10.251 10.251 6.465
angles: 90.00 90.00 120.00
Fractional coordinates of all 20 atoms:
Pr (0.075, 0.537, 0.000)
Pr (0.126, 0.253, 0.300)
Pr (0.126, 0.874, 0.300)
Pr (0.253, 0.126, 0.800)
Pr (0.333, 0.667, 0.509)
Pr (0.463, 0.537, 0.000)
Pr (0.463, 0.925, 0.000)
Pr (0.537, 0.075, 0.500)
Pr (0.537, 0.463, 0.500)
Pr (0.667, 0.333, 0.009)
Pr (0.747, 0.874, 0.300)
Pr (0.874, 0.126, 0.800)
Pr (0.874, 0.747, 0.800)
Pr (0.925, 0.463, 0.500)
Pt (0.189, 0.378, 0.747)
Pt (0.189, 0.811, 0.747)
Pt (0.378, 0.189, 0.247)
Pt (0.622, 0.811, 0.747)
Pt (0.811, 0.189, 0.247)
Pt (0.811, 0.622, 0.247)